Structure and theoretical XRD peak list of BaLaHfSc2 (a crystal structure in Alexandria, relaxed with GGA-PBE; Cu Kα X-rays).

Principal peaks in the range 10° ≤ 2θ ≤ 90°, most intense first:
h k l	d/Å	intensity
1 1 0	3.753	100
2 0 0	2.654	93
1 1 1	3.133	76
2 0 2	1.941	74
0 0 2	2.847	57
1 1 2	2.268	53
1 0 1	3.882	51
2 2 2	1.567	37
2 2 0	1.876	33
3 1 2	1.446	27

Cell and atoms:
```
BaLaHfSc2
1.0
5.3071 0.0000 0.0000
0.0000 5.3071 0.0000
0.0000 0.0000 5.6933
Ba La Hf Sc
1 1 1 2
Direct
0.0000 0.0000 0.0000
0.0000 0.0000 0.5000
0.5000 0.5000 0.5000
0.0000 0.5000 0.0000
0.5000 0.0000 0.0000
```

Structure and theoretical XRD peak list of BaHoAgTe3 (a crystal structure in Alexandria, relaxed with GGA-PBE; Cu Kα X-rays).

Principal peaks in the range 10° ≤ 2θ ≤ 90°, most intense first:
h k l	d/Å	intensity
2 1 0	3.168	100
2 1 -1	3.197	88
1 0 -1	7.683	56
1 1 -3	2.702	50
0 0 3	3.269	48
0 2 0	2.257	48
2 1 -4	2.146	35
3 1 2	2.037	32
4 0 -1	2.305	32
1 0 3	2.834	27

Cell and atoms:
```
BaHoAgTe3
1.0
9.2259 0.0000 0.0000
0.0000 4.5134 0.0000
-2.7064 0.0000 9.8062
Ba Ho Ag Te
2 2 2 6
Direct
0.1996 0.2500 0.2520
0.8004 0.7500 0.7480
0.3221 0.7500 0.8401
0.6779 0.2500 0.1599
0.0808 0.2500 0.5873
0.9192 0.7500 0.4127
0.1038 0.2500 0.8727
0.2495 0.7500 0.5287
0.4463 0.7500 0.1559
0.5537 0.2500 0.8441
0.7505 0.2500 0.4713
0.8962 0.7500 0.1273
```

Structure and theoretical XRD peak list of SmZrOs (a crystal structure in Alexandria, relaxed with GGA-PBE; Cu Kα X-rays).

Principal peaks in the range 10° ≤ 2θ ≤ 90°, most intense first:
h k l	d/Å	intensity
0 1 2	2.481	100
1 1 0	3.511	75
2 1 0	2.264	75
0 2 0	2.408	65
2 0 -2	2.291	44
1 0 -2	2.924	43
1 0 0	5.130	36
0 0 1	5.789	33
2 2 -2	1.660	33
2 1 -1	2.328	27

Cell and atoms:
```
SmZrOs
1.0
5.3775 0.0000 0.0000
0.0000 4.8168 0.0000
-1.8201 0.0000 5.7890
Sm Zr Os
2 2 2
Direct
0.2021 0.2500 0.4046
0.7979 0.7500 0.5954
0.3397 0.7500 0.0302
0.6603 0.2500 0.9698
0.1275 0.2500 0.8764
0.8725 0.7500 0.1236
```